Structure and calculated XRD peak list of NdCu6 (the GGA-PBE geometry in the Materials Project; Cu Kα (weighted mean of Kα1 and Kα2)).
Intensities are scaled so that the largest is 100.

a = 5.065 Å, b = 10.140 Å, c = 8.090 Å
α = 90.00°, β = 91.13°, γ = 90.00°
Space group P2_1/c (No. 14)
Inequivalent atoms, fractional coordinates:
Nd: 0.243 0.064 0.239 x4
Cu: 0.004 0.192 0.566 x4
Cu: 0.250 0.516 0.099 x4
Cu: 0.250 0.744 0.683 x4
Cu: 0.255 0.142 0.853 x4
Cu: 0.267 0.597 0.437 x4
Cu: 0.493 0.189 0.563 x4

Most intense lines, 15° ≤ 2θ ≤ 90°, by intensity:
index, 2θ (°), intensity
1 1 3, 39.20, 100
1 1 -3, 38.55, 63
0 4 1, 37.17, 61
0 1 4, 45.74, 51
1 3 -2, 38.81, 43
2 3 -1, 46.03, 41
2 0 0, 35.45, 40
2 2 0, 39.79, 32
1 3 0, 31.83, 28
0 5 1, 46.15, 27
2 3 1, 46.35, 24
2 0 -2, 41.71, 19